For Rb3TcF8, DFT lattice parameters and positions (PBE) gives the theoretical X-ray powder pattern in this record (Cu Kα (weighted mean of Kα1 and Kα2)).
No peak broadening, texture or thermal motion is included.

Largest 10 diffraction maxima, sorted by position, 2θ = 15–90°:
Position (°2θ)	Rel. int.
23.68	33
24.33	22
27.11	100
34.21	36
42.82	26
43.80	30
49.51	28
51.42	14
66.62	12
69.08	15

Cell and atoms:
Unit cell a=8.448 b=8.448 c=7.515 alpha=90.00 beta=90.00 gamma=120.00
Positions (direct):
Rb  0.154  0.309  0.000
Rb  0.154  0.846  0.000
Rb  0.309  0.154  0.500
Rb  0.691  0.846  0.000
Rb  0.846  0.154  0.500
Rb  0.846  0.691  0.500
Tc  0.333  0.667  0.470
Tc  0.667  0.333  0.970
F  0.000  0.000  0.260
F  0.000  0.000  0.760
F  0.119  0.559  0.324
F  0.224  0.449  0.612
F  0.224  0.776  0.612
F  0.333  0.667  0.973
F  0.441  0.559  0.324
F  0.441  0.881  0.324
F  0.449  0.224  0.112
F  0.551  0.776  0.612
F  0.559  0.119  0.824
F  0.559  0.441  0.824
F  0.667  0.333  0.473
F  0.776  0.224  0.112
F  0.776  0.551  0.112
F  0.881  0.441  0.824

For Be5SiIr6, DFT lattice parameters and positions (PBE) gives the theoretical X-ray powder pattern in this record (Cu Kα (weighted mean of Kα1 and Kα2)).
No peak broadening, texture or thermal motion is included.

Largest 10 diffraction maxima, sorted by position, 2θ = 15–90°:
Position (°2θ)	Rel. int.
31.57	100
45.12	16
45.28	77
56.12	14
56.32	13
65.92	15
74.74	6
74.94	23
83.39	11
83.70	16

Cell and atoms:
Unit cell a=6.932 b=6.932 c=6.932 alpha=146.30 beta=131.77 gamma=60.13
Positions (direct):
Be  0.000  0.000  0.000
Be  0.168  0.668  0.500
Be  0.333  0.333  0.000
Be  0.667  0.667  0.000
Be  0.832  0.332  0.500
Si  0.500  0.000  0.500
Ir  0.080  0.832  0.248
Ir  0.246  0.500  0.746
Ir  0.416  0.168  0.248
Ir  0.584  0.832  0.752
Ir  0.754  0.500  0.254
Ir  0.920  0.168  0.752

For K2SrTiO4, DFT lattice parameters and positions (PBE) gives the theoretical X-ray powder pattern in this record (Cu Kα (weighted mean of Kα1 and Kα2)).
No peak broadening, texture or thermal motion is included.

Largest 10 diffraction maxima, sorted by position, 2θ = 15–90°:
Position (°2θ)	Rel. int.
19.05	30
27.28	100
28.66	99
29.43	86
31.08	99
40.56	44
44.90	43
49.81	30
53.25	37
54.60	34

Cell and atoms:
Unit cell a=7.322 b=7.259 c=6.070 alpha=90.00 beta=90.00 gamma=90.00
Positions (direct):
K  0.241  0.158  0.000
K  0.259  0.842  0.500
K  0.741  0.842  0.500
K  0.759  0.158  0.000
Sr  0.000  0.376  0.511
Sr  0.500  0.624  0.011
Ti  0.000  0.670  0.019
Ti  0.500  0.330  0.519
O  0.000  0.433  0.907
O  0.000  0.657  0.320
O  0.213  0.792  0.938
O  0.287  0.208  0.438
O  0.500  0.343  0.820
O  0.500  0.567  0.407
O  0.713  0.208  0.438
O  0.787  0.792  0.938

For Ce3YSn5, DFT lattice parameters and positions (PBE) gives the theoretical X-ray powder pattern in this record (Cu Kα (weighted mean of Kα1 and Kα2)).
No peak broadening, texture or thermal motion is included.

Largest 10 diffraction maxima, sorted by position, 2θ = 15–90°:
Position (°2θ)	Rel. int.
27.54	12
32.12	50
32.90	91
33.57	100
42.27	20
47.72	27
51.66	13
59.16	29
61.80	15
67.26	26

Cell and atoms:
Unit cell a=9.430 b=9.430 c=6.478 alpha=90.00 beta=90.00 gamma=120.00
Positions (direct):
Ce  0.000  0.383  0.250
Ce  0.000  0.617  0.750
Ce  0.383  0.000  0.250
Ce  0.383  0.383  0.750
Ce  0.617  0.000  0.750
Ce  0.617  0.617  0.250
Y  0.000  0.000  0.000
Y  0.000  0.000  0.500
Sn  0.000  0.284  0.750
Sn  0.000  0.716  0.250
Sn  0.284  0.000  0.750
Sn  0.284  0.284  0.250
Sn  0.333  0.667  0.000
Sn  0.333  0.667  0.500
Sn  0.667  0.333  0.000
Sn  0.667  0.333  0.500
Sn  0.716  0.000  0.250
Sn  0.716  0.716  0.750